Diffraction record for Li2MnPCO7. The powder diffractogram is simulated, not measured: it uses a DFT-relaxed cell (PBE+U, Alexandria) and copper Kα.
No peak broadening, texture or thermal motion is included.

Cell and atoms:
Unit cell a=5.094 b=6.338 c=8.545 alpha=95.15 beta=91.99 gamma=94.02
Fractional positions:
Li (0.167, 0.025, 0.218)
Li (0.268, 0.536, 0.234)
Li (0.732, 0.464, 0.766)
Li (0.833, 0.975, 0.782)
Mn (0.291, 0.748, 0.648)
Mn (0.709, 0.252, 0.352)
P (0.198, 0.242, 0.577)
P (0.802, 0.758, 0.423)
C (0.221, 0.749, 0.940)
C (0.779, 0.251, 0.060)
O (0.010, 0.713, 0.848)
O (0.097, 0.699, 0.444)
O (0.195, 0.053, 0.680)
O (0.223, 0.758, 0.088)
O (0.315, 0.186, 0.416)
O (0.358, 0.437, 0.665)
O (0.441, 0.781, 0.865)
O (0.559, 0.219, 0.135)
O (0.642, 0.563, 0.335)
O (0.685, 0.814, 0.584)
O (0.777, 0.242, 0.912)
O (0.805, 0.947, 0.320)
O (0.903, 0.301, 0.556)
O (0.990, 0.287, 0.152)

Main lines, sorted by position (10 to 90 degrees two-theta):
two_theta, I_rel, hkl
10.4, 100, 0 0 1
16.7, 18, 0 1 -1
18.3, 14, 0 1 1
20.0, 26, 1 0 -1
20.7, 23, 1 0 1
23.8, 13, 1 -1 1
26.8, 29, 1 0 -2
28.4, 48, 0 2 0
35.4, 13, 2 0 0
43.4, 14, 2 1 -2